Diffraction record for Li4Nb2V3Fe3O16. The X-ray diffraction stick pattern is simulated, not measured: it uses a PBE+U-relaxed structure and Cu Kα X-rays.
No peak broadening, texture or thermal motion is included.

```
Li4Nb2V3Fe3O16
1.0
5.1723 -2.9326 0.0000
5.1723 2.9326 0.0000
-0.1177 0.0000 9.7738
Li Nb V Fe O
4 2 3 3 16
Direct
0.0000 0.0000 0.0000
0.0009 0.0009 0.5010
0.3294 0.3294 0.9104
0.6626 0.6626 0.4094
0.3312 0.3312 0.5052
0.6690 0.6690 0.0079
0.1717 0.1717 0.2323
0.3524 0.8195 0.7276
0.8195 0.3524 0.7276
0.1830 0.6512 0.2247
0.6512 0.1830 0.2247
0.8305 0.8305 0.7248
0.0100 0.0100 0.3118
0.0102 0.0102 0.8118
0.0320 0.4754 0.3543
0.1665 0.1665 0.6082
0.1675 0.6681 0.6040
0.3146 0.3146 0.1166
0.3327 0.8347 0.1017
0.4754 0.0320 0.3543
0.4796 0.4796 0.3603
0.5119 0.9590 0.8499
0.5141 0.5141 0.8525
0.6565 0.6565 0.6120
0.6681 0.1675 0.6040
0.8347 0.3327 0.1017
0.8346 0.8346 0.0986
0.9590 0.5119 0.8499
```

Main lines, sorted by position (15° ≤ 2θ ≤ 90°):
| 2θ/deg | d_spacing | intensity |
| --- | --- | --- |
| 18.15 | 4.887 | 34 |
| 19.56 | 4.539 | 100 |
| 19.68 | 4.512 | 69 |
| 25.18 | 3.537 | 30 |
| 32.69 | 2.739 | 41 |
| 35.18 | 2.551 | 48 |
| 35.51 | 2.528 | 37 |
| 35.71 | 2.515 | 33 |
| 45.01 | 2.014 | 33 |
| 62.49 | 1.486 | 38 |